Diffraction record for NaSbO12. The powder diffraction line list is simulated, not measured: it uses a crystal structure in Alexandria, relaxed with GGA-PBE and Cu Ka.

Atomic structure:
```
data_NaSbO12
_cell_length_a 9.622
_cell_length_b 9.622
_cell_length_c 6.687
_cell_angle_alpha 90.00
_cell_angle_beta 90.00
_cell_angle_gamma 90.00
_space_group_name_H-M_alt 'P 42/n'
_space_group_IT_number 86
loop_
_space_group_symop_operation_xyz
'x,y,z'
'-x,-y,-z'
'-y,x+1/2,z+1/2'
'y,-x+1/2,-z+1/2'
'-x+1/2,-y+1/2,z'
'x+1/2,y+1/2,-z'
'y+1/2,-x,z+1/2'
'-y+1/2,x,-z+1/2'
loop_
_atom_site_label
_atom_site_type_symbol
_atom_site_fract_x
_atom_site_fract_y
_atom_site_fract_z
Na1 Na 0.250 0.250 0.250
Sb1 Sb 0.250 0.250 0.750
O1 O 0.073 0.862 0.744
O2 O 0.111 0.650 0.103
O3 O 0.119 0.293 0.955
```

Top 8 peaks for 2θ = 15–90°, in order of rising 2θ:
hkl  d/Å  2θ (°)  Rel. int.
1 0 1  5.491  16.1  78
2 0 0  4.811  18.4  70
1 2 1  3.619  24.6  100
2 2 0  3.402  26.2  19
3 1 0  3.043  29.4  67
2 2 2  2.385  37.7  18
3 1 2  2.250  40.1  47
2 4 2  1.809  50.4  25

Diffraction record for SmPO. The powder diffraction line list is simulated, not measured: it uses a crystal structure in Alexandria, relaxed with GGA-PBE and Cu Ka.

Atomic structure:
```
data_SmPO
_cell_length_a 3.910
_cell_length_b 4.417
_cell_length_c 13.027
_cell_angle_alpha 90.00
_cell_angle_beta 90.00
_cell_angle_gamma 90.00
_space_group_name_H-M_alt 'I m m m'
_space_group_IT_number 71
_space_group_name_Hall '-I 2 2'
loop_
_atom_site_label
_atom_site_type_symbol
_atom_site_fract_x
_atom_site_fract_y
_atom_site_fract_z
Sm1 Sm 0.000 0.000 0.168
P1 P 0.000 0.245 0.500
O1 O 0.000 0.500 0.238
```

Top 8 peaks for 2θ = 15–90°, in order of rising 2θ:
hkl  d/Å  2θ (°)  Rel. int.
0 1 1  4.183  21.2  38
0 1 3  3.096  28.8  74
1 1 0  2.927  30.5  53
1 0 3  2.905  30.8  100
0 0 6  2.171  41.6  21
1 2 3  1.758  52.0  21
1 1 6  1.744  52.5  35
2 1 3  1.653  55.6  24